(1)
For Fe2HgI6Br2, a GGA-PBE-relaxed structure gives the theoretical powder XRD pattern in this record (Cu Kα (weighted mean of Kα1 and Kα2)).

Main lines, low angle first (2θ = 10–80°):
hkl 1 0 1, 16.3 deg, I = 76
hkl 1 1 1, 25.6 deg, I = 100
hkl 0 0 3, 25.8 deg, I = 21
hkl 2 -1 2, 29.7 deg, I = 92
hkl 1 1 3, 35.6 deg, I = 24
hkl 3 0 0, 42.3 deg, I = 54
hkl 1 1 4, 42.6 deg, I = 49
hkl 3 0 3, 50.2 deg, I = 19
hkl 2 2 2, 52.6 deg, I = 23
hkl 5 -1 2, 69.7 deg, I = 19

Cell and atoms:
Cell: 7.3950 7.3950 10.3645 Å, 90.00 90.00 120.00°
Space group P-3 (No. 147)
Unique sites:
Fe1 0.3333 0.6667 0.2456
Hg1 0.0000 0.0000 0.5000
I1 0.0012 0.6659 0.3236
Br1 0.3333 0.6667 0.0243

=====

(2)
For ScPaPt3, a GGA-PBE-relaxed structure gives the theoretical powder XRD pattern in this record (Cu Kα (weighted mean of Kα1 and Kα2)).

Main lines, low angle first (2θ = 10–80°):
hkl 0 0 1, 10.0 deg, I = 43
hkl 0 0 2, 20.1 deg, I = 20
hkl 1 0 2, 29.8 deg, I = 83
hkl 0 2 1, 33.5 deg, I = 25
hkl 1 0 3, 37.6 deg, I = 60
hkl 0 2 2, 38.0 deg, I = 24
hkl 1 2 1, 40.2 deg, I = 100
hkl 2 0 0, 44.3 deg, I = 31
hkl 0 2 3, 44.6 deg, I = 23
hkl 1 2 6, 76.7 deg, I = 23

Cell and atoms:
Cell: 4.0934 5.6197 8.8300 Å, 90.00 90.00 90.00°
Space group Pmmn (No. 59, origin choice 2)
Unique sites:
Sc1 0.2500 0.2500 0.0518
Pa1 0.2500 0.7500 0.3878
Pt1 0.2500 0.2500 0.3813
Pt2 0.2500 0.5025 0.7901

=====

(3)
For Tl4ZnHg15, a GGA-PBE-relaxed structure gives the theoretical powder XRD pattern in this record (Cu Kα (weighted mean of Kα1 and Kα2)).

Main lines, low angle first (2θ = 10–80°):
hkl 1 1 3, 30.2 deg, I = 29
hkl 1 1 4, 31.6 deg, I = 76
hkl 1 1 5, 33.3 deg, I = 13
hkl 0 0 10, 34.0 deg, I = 59
hkl 1 1 -6, 34.8 deg, I = 100
hkl 2 0 7, 41.6 deg, I = 14
hkl 0 2 0, 46.6 deg, I = 21
hkl 1 1 13, 54.0 deg, I = 14
hkl 0 2 10, 58.9 deg, I = 25
hkl 1 1 -16, 63.3 deg, I = 17

Cell and atoms:
Cell: 5.3736 3.8945 26.3975 Å, 90.00 91.05 90.00°
Space group P2/m (No. 10)
Unique sites:
Tl1 0.0687 0.0000 0.1870
Tl2 0.3501 0.0000 0.3964
Zn1 0.0000 0.0000 0.0000
Hg1 0.0000 0.0000 0.5000
Hg2 0.0368 0.5000 0.0824
Hg3 0.1491 0.5000 0.6014
Hg4 0.1973 0.5000 0.2939
Hg5 0.2908 0.0000 0.7048
Hg6 0.4285 0.5000 0.8040
Hg7 0.4563 0.0000 0.9043
Hg8 0.5000 0.5000 0.0000
Hg9 0.5000 0.5000 0.5000

=====

(4)
For Cs3IrO6, a GGA-PBE-relaxed structure gives the theoretical powder XRD pattern in this record (Cu Kα (weighted mean of Kα1 and Kα2)).

Main lines, low angle first (2θ = 10–80°):
hkl 0 2 2, 24.4 deg, I = 100
hkl 2 0 2, 27.2 deg, I = 93
hkl 2 2 0, 28.0 deg, I = 63
hkl 0 0 4, 33.4 deg, I = 21
hkl 0 4 0, 36.1 deg, I = 25
hkl 2 2 4, 44.1 deg, I = 45
hkl 2 4 2, 45.7 deg, I = 40
hkl 4 2 2, 50.7 deg, I = 27
hkl 4 4 4, 68.5 deg, I = 26
hkl 2 6 4, 70.4 deg, I = 19

Cell and atoms:
Cell: 8.2856 9.9609 10.7352 Å, 90.00 90.00 90.00°
Space group Fmmm (No. 69)
Unique sites:
Cs1 0.0000 0.0000 0.0000
Cs2 0.2500 0.2500 0.2500
Ir1 0.0000 0.0000 0.5000
O1 0.0000 0.1903 0.5000
O2 0.1598 0.0000 0.3777

=====

(5)
For Mg5HgCl12, a GGA-PBE-relaxed structure gives the theoretical powder XRD pattern in this record (Cu Kα (weighted mean of Kα1 and Kα2)).

Main lines, low angle first (2θ = 10–80°):
hkl 0 0 2, 13.4 deg, I = 100
hkl 0 2 0, 15.9 deg, I = 23
hkl 1 1 1, 17.3 deg, I = 41
hkl 1 1 -2, 20.9 deg, I = 31
hkl 2 0 -1, 28.5 deg, I = 23
hkl 1 3 2, 30.9 deg, I = 57
hkl 2 0 -3, 34.5 deg, I = 51
hkl 2 0 4, 39.1 deg, I = 28
hkl 1 3 -5, 44.4 deg, I = 22
hkl 3 3 -1, 49.5 deg, I = 31

Cell and atoms:
Cell: 6.4429 11.1638 13.1749 Å, 90.00 90.07 90.00°
Space group C2/m (No. 12)
Unique sites:
Mg1 0.0000 0.0000 0.0000
Mg2 0.0000 0.1664 0.5000
Mg3 0.0000 0.3333 0.0000
Hg1 0.0000 0.5000 0.5000
Cl1 0.1442 0.0000 0.6090
Cl2 0.1663 0.1666 0.8972
Cl3 0.1661 0.5000 0.8970
Cl4 0.1776 0.3223 0.6087

=====

(6)
For Pr3Er5Sc, a GGA-PBE-relaxed structure gives the theoretical powder XRD pattern in this record (Cu Kα (weighted mean of Kα1 and Kα2)).

Main lines, low angle first (2θ = 10–80°):
hkl 2 1 3, 28.9 deg, I = 71
hkl 2 2 0, 29.2 deg, I = 52
hkl 2 0 4, 31.1 deg, I = 100
hkl 3 1 0, 32.7 deg, I = 30
hkl 3 2 1, 37.9 deg, I = 20
hkl 4 1 1, 43.5 deg, I = 21
hkl 4 1 3, 46.7 deg, I = 18
hkl 4 2 4, 52.9 deg, I = 18
hkl 5 1 4, 59.5 deg, I = 14
hkl 4 1 7, 61.1 deg, I = 13

Cell and atoms:
Cell: 8.6616 8.6616 15.3661 Å, 90.00 90.00 90.00°
Space group I4/mcm (No. 140)
Unique sites:
Pr1 0.0000 0.0000 0.2500
Pr2 0.1192 0.3808 0.0000
Er1 0.0000 0.0000 0.0000
Er2 0.2067 0.2933 0.3594
Sc1 0.0000 0.5000 0.2500

=====

(7)
For Tl2Cd9Au4, a GGA-PBE-relaxed structure gives the theoretical powder XRD pattern in this record (Cu Kα (weighted mean of Kα1 and Kα2)).

Main lines, low angle first (2θ = 10–80°):
hkl 1 0 3, 26.2 deg, I = 42
hkl 0 1 5, 32.9 deg, I = 41
hkl 1 0 6, 36.9 deg, I = 60
hkl 1 1 0, 37.8 deg, I = 100
hkl 1 1 6, 48.7 deg, I = 12
hkl 2 0 5, 51.0 deg, I = 12
hkl 0 2 6, 53.8 deg, I = 20
hkl 1 0 11, 60.4 deg, I = 13
hkl 2 1 6, 67.7 deg, I = 20
hkl 3 0 0, 68.3 deg, I = 17

Cell and atoms:
Cell: 4.7565 4.7565 18.1544 Å, 90.00 90.00 120.00°
Space group P-3m1 (No. 164)
Unique sites:
Tl1 0.3333 0.6667 0.2572
Cd1 0.0000 0.0000 0.0000
Cd2 0.0000 0.0000 0.1718
Cd3 0.0000 0.0000 0.3510
Cd4 0.3333 0.6667 0.0689
Cd5 0.3333 0.6667 0.4470
Au1 0.3333 0.6667 0.6028
Au2 0.3333 0.6667 0.8983

=====

(8)
For Sm4Sb8Rh3, a GGA-PBE-relaxed structure gives the theoretical powder XRD pattern in this record (Cu Kα (weighted mean of Kα1 and Kα2)).

Main lines, low angle first (2θ = 10–80°):
hkl 1 0 4, 27.3 deg, I = 14
hkl 1 1 2, 30.0 deg, I = 15
hkl 1 1 4, 34.1 deg, I = 100
hkl 1 0 6, 34.4 deg, I = 26
hkl 2 0 0, 40.7 deg, I = 47
hkl 1 0 10, 51.5 deg, I = 15
hkl 2 1 6, 54.3 deg, I = 14
hkl 2 2 0, 59.0 deg, I = 16
hkl 2 1 10, 67.6 deg, I = 15
hkl 3 1 4, 69.9 deg, I = 24

Cell and atoms:
Cell: 4.4307 4.4307 19.3780 Å, 90.00 90.00 90.00°
Space group P-4m2 (No. 115)
Unique sites:
Sm1 0.0000 0.5000 0.1185
Sm2 0.0000 0.5000 0.6248
Sb1 0.0000 0.0000 0.2472
Sb2 0.0000 0.5000 0.4231
Sb3 0.0000 0.5000 0.9321
Sb4 0.5000 0.5000 0.2477
Rh1 0.0000 0.0000 0.0000
Rh2 0.0000 0.0000 0.5000
Rh3 0.5000 0.5000 0.5000

=====

(9)
For SrZrMo, a GGA-PBE-relaxed structure gives the theoretical powder XRD pattern in this record (Cu Kα (weighted mean of Kα1 and Kα2)).

Main lines, low angle first (2θ = 10–80°):
hkl 5 1 0, 28.1 deg, I = 44
hkl 4 0 -1, 29.6 deg, I = 23
hkl 8 0 0, 30.6 deg, I = 55
hkl 1 1 1, 32.9 deg, I = 74
hkl 3 1 1, 34.7 deg, I = 59
hkl 5 1 1, 38.1 deg, I = 42
hkl 0 2 0, 41.7 deg, I = 39
hkl 7 1 -1, 42.7 deg, I = 100
hkl 8 2 0, 52.6 deg, I = 23
hkl 7 3 -1, 76.9 deg, I = 25

Cell and atoms:
Cell: 23.3503 4.3313 3.5315 Å, 90.00 90.16 90.00°
Space group C2/m (No. 12)
Unique sites:
Sr1 0.1783 0.0000 0.2512
Zr1 0.0590 0.5000 0.7515
Mo1 0.0409 0.0000 0.2514

=====

(10)
For Ac14TbHo, a GGA-PBE-relaxed structure gives the theoretical powder XRD pattern in this record (Cu Kα (weighted mean of Kα1 and Kα2)).

Main lines, low angle first (2θ = 10–80°):
hkl 2 2 2, 27.7 deg, I = 100
hkl 4 0 0, 32.0 deg, I = 17
hkl 0 4 0, 32.2 deg, I = 34
hkl 4 4 0, 46.0 deg, I = 26
hkl 0 4 4, 46.2 deg, I = 13
hkl 6 2 2, 54.5 deg, I = 16
hkl 2 6 2, 54.7 deg, I = 32
hkl 4 4 4, 57.3 deg, I = 14
hkl 6 6 2, 74.1 deg, I = 13
hkl 2 6 6, 74.3 deg, I = 6

Cell and atoms:
Cell: 11.1865 11.1230 11.1247 Å, 90.00 90.00 90.00°
Space group Amm2 (No. 38)
Unique sites:
Ac1 0.0000 0.0000 0.0000
Ac2 0.0000 0.0000 0.5001
Ac3 0.0000 0.2505 0.2501
Ac4 0.2561 0.0000 0.2498
Ac5 0.2571 0.0000 0.7503
Ac6 0.2567 0.2499 0.0001
Ac7 0.5000 0.2496 0.2501
Tb1 0.5000 0.0000 0.4999
Ho1 0.5000 0.0000 0.0004

=====

(11)
For K3Hg3Sb2, a GGA-PBE-relaxed structure gives the theoretical powder XRD pattern in this record (Cu Kα (weighted mean of Kα1 and Kα2)).

Main lines, low angle first (2θ = 10–80°):
hkl 0 2 0, 10.2 deg, I = 60
hkl 1 0 1, 15.8 deg, I = 68
hkl 0 3 1, 20.0 deg, I = 100
hkl 1 0 2, 27.5 deg, I = 75
hkl 2 4 0, 27.8 deg, I = 51
hkl 2 4 1, 30.7 deg, I = 80
hkl 3 0 1, 31.0 deg, I = 93
hkl 1 3 2, 31.6 deg, I = 62
hkl 1 4 2, 34.5 deg, I = 84
hkl 2 7 0, 41.0 deg, I = 53

Cell and atoms:
Cell: 9.5393 17.3563 6.9025 Å, 90.00 90.00 90.00°
Space group Pnma (No. 62)
Unique sites:
K1 0.0352 0.1026 0.1269
K2 0.1559 0.2500 0.6434
Hg1 0.1734 0.0371 0.5974
Hg2 0.1907 0.7500 0.6641
Sb1 0.1212 0.6002 0.3601

=====

(12)
For Pm4YN5, a GGA-PBE-relaxed structure gives the theoretical powder XRD pattern in this record (Cu Kα (weighted mean of Kα1 and Kα2)).

Main lines, low angle first (2θ = 10–80°):
hkl 2 1 1, 30.5 deg, I = 100
hkl 0 0 2, 35.2 deg, I = 25
hkl 1 3 0, 35.4 deg, I = 50
hkl 1 3 2, 50.8 deg, I = 35
hkl 4 2 0, 51.0 deg, I = 17
hkl 2 1 3, 60.3 deg, I = 15
hkl 5 0 1, 60.6 deg, I = 30
hkl 4 2 2, 63.5 deg, I = 17
hkl 0 0 4, 74.5 deg, I = 3
hkl 2 6 0, 75.0 deg, I = 5

Cell and atoms:
Cell: 8.0118 8.0118 5.0930 Å, 90.00 90.00 90.00°
Space group I4 (No. 79)
Unique sites:
Pm1 0.1005 0.2990 0.0000
Y1 0.0000 0.0000 0.4980
N1 0.0000 0.0000 0.0182
N2 0.0984 0.2952 0.5115